Lu2Mn3Sb3O14: computed X-ray diffraction stick pattern (a wavelength of 1.5418 Å), based on a DFT-relaxed cell (PBE+U, Alexandria).
Lines closer than 0.1° are merged.

Main lines, by angle (5 to 70 degrees two-theta):
- 14.90°, d 5.947, I 18.1
- 30.03°, d 2.976, I 100.0
- 30.19°, d 2.960, I 49.2
- 30.53°, d 2.929, I 48.7
- 35.01°, d 2.563, I 59.9
- 49.93°, d 1.827, I 16.8
- 50.12°, d 1.820, I 32.1
- 50.56°, d 1.805, I 30.7
- 50.78°, d 1.798, I 15.0
- 59.64°, d 1.550, I 20.6

Structural model:
Cell: 7.2225 7.2225 7.1917 Å, 119.32 119.32 60.77°
Sites, in units of the cell vectors:
Lu: 0.0000 0.0000 0.0000
Lu: 0.0000 0.0000 0.5000
Mn: 0.0000 0.5000 0.5000
Mn: 0.5000 0.0000 0.5000
Mn: 0.5000 0.5000 0.0000
Sb: 0.0000 0.5000 0.0000
Sb: 0.5000 0.0000 0.0000
Sb: 0.5000 0.5000 0.5000
O: 0.1236 0.1236 0.3757
O: 0.1551 0.5986 0.9248
O: 0.1685 0.1685 0.9028
O: 0.1697 0.5874 0.3336
O: 0.4014 0.8449 0.0752
O: 0.4126 0.8303 0.6664
O: 0.4235 0.4235 0.6775
O: 0.5765 0.5765 0.3225
O: 0.5874 0.1697 0.3336
O: 0.5986 0.1551 0.9248
O: 0.8303 0.4126 0.6664
O: 0.8315 0.8315 0.0972
O: 0.8449 0.4014 0.0752
O: 0.8764 0.8764 0.6243